# 1
# Pr3TmGa2
Simulated powder diffraction line list, Cu Kα. Input: a cell relaxed with GGA-PBE.
Kinematic intensities with the Lorentz-polarization factor, no thermal factor.

Cell and atoms:
abc: 5.162 9.760 6.667
angles: 90.00 90.00 90.00
Fractional coordinates of all 12 atoms:
Pr: 0.000 0.047 0.000
Pr: 0.000 0.338 0.335
Pr: 0.000 0.662 0.835
Pr: 0.000 0.953 0.500
Pr: 0.500 0.179 0.703
Pr: 0.500 0.821 0.203
Tm: 0.500 0.445 0.036
Tm: 0.500 0.555 0.536
Ga: 0.000 0.351 0.820
Ga: 0.000 0.649 0.320
Ga: 0.500 0.150 0.226
Ga: 0.500 0.850 0.726

Largest 6 diffraction maxima, sorted by position, 15 to 90 degrees two-theta:
| 2θ/deg | intensity |
| --- | --- |
| 28.5 | 33 |
| 32.0 | 28 |
| 32.5 | 100 |
| 33.3 | 77 |
| 34.8 | 46 |
| 59.0 | 24 |


# 2
# Pr2Tm2Ga3
Simulated powder diffraction line list, Cu Kα. Input: a cell relaxed with GGA-PBE.
Kinematic intensities with the Lorentz-polarization factor, no thermal factor.

Cell and atoms:
abc: 3.706 5.975 8.221
angles: 91.55 90.01 107.70
Fractional coordinates of all 7 atoms:
Pr: 0.208 0.416 0.165
Pr: 0.792 0.584 0.835
Tm: 0.061 0.114 0.694
Tm: 0.939 0.886 0.306
Ga: 0.333 0.667 0.538
Ga: 0.500 0.000 0.000
Ga: 0.667 0.333 0.462

Largest 6 diffraction maxima, sorted by position, 15 to 90 degrees two-theta:
| 2θ/deg | intensity |
| --- | --- |
| 25.3 | 13 |
| 33.6 | 100 |
| 35.3 | 33 |
| 35.5 | 32 |
| 36.0 | 29 |
| 49.2 | 13 |


# 3
# Pr2Y3Ga4
Simulated powder diffraction line list, Cu Kα. Input: a cell relaxed with GGA-PBE.
Kinematic intensities with the Lorentz-polarization factor, no thermal factor.

Cell and atoms:
abc: 8.702 8.702 8.652
angles: 90.00 90.00 132.77
Fractional coordinates of all 18 atoms:
Pr: 0.107 0.893 0.920
Pr: 0.393 0.607 0.420
Pr: 0.607 0.393 0.580
Pr: 0.893 0.107 0.080
Y: 0.000 0.000 0.500
Y: 0.036 0.464 0.750
Y: 0.464 0.036 0.250
Y: 0.500 0.500 0.000
Y: 0.536 0.964 0.750
Y: 0.964 0.536 0.250
Ga: 0.187 0.813 0.541
Ga: 0.218 0.282 0.750
Ga: 0.282 0.218 0.250
Ga: 0.313 0.687 0.041
Ga: 0.687 0.313 0.959
Ga: 0.718 0.782 0.750
Ga: 0.782 0.718 0.250
Ga: 0.813 0.187 0.459

Largest 6 diffraction maxima, sorted by position, 15 to 90 degrees two-theta:
| 2θ/deg | intensity |
| --- | --- |
| 29.5 | 22 |
| 29.8 | 32 |
| 32.6 | 61 |
| 33.0 | 100 |
| 34.2 | 22 |
| 49.7 | 22 |


# 4
# Pr2YGa4
Simulated powder diffraction line list, Cu Kα. Input: a cell relaxed with GGA-PBE.
Kinematic intensities with the Lorentz-polarization factor, no thermal factor.

Cell and atoms:
abc: 9.916 9.916 9.916
angles: 155.51 154.69 35.51
Fractional coordinates of all 7 atoms:
Pr: 0.184 0.184 0.000
Pr: 0.816 0.816 0.000
Y: 0.000 0.500 0.500
Ga: 0.361 0.361 0.000
Ga: 0.436 0.936 0.500
Ga: 0.564 0.064 0.500
Ga: 0.639 0.639 0.000

Largest 6 diffraction maxima, sorted by position, 15 to 90 degrees two-theta:
| 2θ/deg | intensity |
| --- | --- |
| 31.1 | 100 |
| 31.4 | 60 |
| 39.7 | 30 |
| 41.4 | 27 |
| 41.6 | 30 |
| 43.0 | 27 |


# 5
# Pr2Y3Ga4
Simulated powder diffraction line list, Cu Kα. Input: a cell relaxed with GGA-PBE.
Kinematic intensities with the Lorentz-polarization factor, no thermal factor.

Cell and atoms:
abc: 8.027 8.053 7.673
angles: 90.00 106.79 90.00
Fractional coordinates of all 18 atoms:
Pr: 0.192 0.181 0.077
Pr: 0.192 0.319 0.577
Pr: 0.808 0.681 0.423
Pr: 0.808 0.819 0.923
Y: 0.241 0.676 0.251
Y: 0.241 0.824 0.751
Y: 0.500 0.000 0.500
Y: 0.500 0.500 0.000
Y: 0.759 0.176 0.249
Y: 0.759 0.324 0.749
Ga: 0.081 0.530 0.870
Ga: 0.081 0.970 0.370
Ga: 0.495 0.118 0.878
Ga: 0.495 0.382 0.378
Ga: 0.505 0.618 0.622
Ga: 0.505 0.882 0.122
Ga: 0.919 0.030 0.630
Ga: 0.919 0.470 0.130

Largest 6 diffraction maxima, sorted by position, 15 to 90 degrees two-theta:
| 2θ/deg | intensity |
| --- | --- |
| 29.3 | 25 |
| 30.5 | 30 |
| 31.9 | 100 |
| 32.2 | 35 |
| 35.6 | 36 |
| 36.9 | 39 |


# 6
# Pr4YGa5
Simulated powder diffraction line list, Cu Kα. Input: a cell relaxed with GGA-PBE.
Kinematic intensities with the Lorentz-polarization factor, no thermal factor.

Cell and atoms:
abc: 3.690 3.690 18.547
angles: 90.00 90.00 90.00
Fractional coordinates of all 10 atoms:
Pr: 0.000 0.000 0.102
Pr: 0.000 0.000 0.305
Pr: 0.000 0.000 0.695
Pr: 0.000 0.000 0.898
Y: 0.000 0.000 0.500
Ga: 0.500 0.500 0.000
Ga: 0.500 0.500 0.204
Ga: 0.500 0.500 0.410
Ga: 0.500 0.500 0.590
Ga: 0.500 0.500 0.796

Largest 6 diffraction maxima, sorted by position, 15 to 90 degrees two-theta:
| 2θ/deg | intensity |
| --- | --- |
| 34.3 | 100 |
| 49.4 | 12 |
| 61.3 | 11 |
| 61.5 | 24 |
| 72.2 | 7 |
| 82.7 | 10 |


# 7
# PrZn5Ga7
Simulated powder diffraction line list, Cu Kα. Input: a cell relaxed with GGA-PBE.
Kinematic intensities with the Lorentz-polarization factor, no thermal factor.

Cell and atoms:
abc: 6.996 6.996 6.996
angles: 131.01 99.87 99.92
Fractional coordinates of all 13 atoms:
Pr: 0.000 0.000 0.000
Zn: 0.003 0.000 0.500
Zn: 0.003 0.503 0.004
Zn: 0.222 0.722 0.500
Zn: 0.499 0.000 0.996
Zn: 0.499 0.503 0.500
Ga: 0.208 0.502 0.705
Ga: 0.353 0.000 0.353
Ga: 0.356 0.356 0.000
Ga: 0.648 0.000 0.647
Ga: 0.648 0.648 0.000
Ga: 0.781 0.281 0.500
Ga: 0.797 0.502 0.295

Largest 6 diffraction maxima, sorted by position, 15 to 90 degrees two-theta:
| 2θ/deg | intensity |
| --- | --- |
| 33.6 | 50 |
| 36.9 | 85 |
| 39.3 | 100 |
| 40.1 | 51 |
| 42.1 | 44 |
| 60.6 | 27 |


# 8
# Pr2Zn3Ga
Simulated powder diffraction line list, Cu Kα. Input: a cell relaxed with GGA-PBE.
Kinematic intensities with the Lorentz-polarization factor, no thermal factor.

Cell and atoms:
abc: 3.772 4.549 7.895
angles: 90.00 90.00 90.00
Fractional coordinates of all 6 atoms:
Pr: 0.000 0.000 0.000
Pr: 0.000 0.500 0.496
Zn: 0.500 0.000 0.668
Zn: 0.500 0.500 0.163
Zn: 0.500 0.500 0.830
Ga: 0.500 0.000 0.333

Largest 6 diffraction maxima, sorted by position, 15 to 90 degrees two-theta:
| 2θ/deg | intensity |
| --- | --- |
| 22.5 | 14 |
| 32.9 | 100 |
| 39.6 | 54 |
| 52.4 | 26 |
| 64.1 | 25 |
| 67.5 | 16 |


# 9
# Pr2Zn15Ga2
Simulated powder diffraction line list, Cu Kα. Input: a cell relaxed with GGA-PBE.
Kinematic intensities with the Lorentz-polarization factor, no thermal factor.

Cell and atoms:
abc: 6.875 6.875 6.875
angles: 83.71 83.71 83.71
Fractional coordinates of all 19 atoms:
Pr: 0.166 0.166 0.166
Pr: 0.834 0.834 0.834
Zn: 0.000 0.500 0.500
Zn: 0.150 0.150 0.666
Zn: 0.150 0.666 0.150
Zn: 0.198 0.500 0.802
Zn: 0.198 0.802 0.500
Zn: 0.334 0.850 0.850
Zn: 0.500 0.000 0.500
Zn: 0.500 0.198 0.802
Zn: 0.500 0.500 0.000
Zn: 0.500 0.802 0.198
Zn: 0.666 0.150 0.150
Zn: 0.802 0.198 0.500
Zn: 0.802 0.500 0.198
Zn: 0.850 0.334 0.850
Zn: 0.850 0.850 0.334
Ga: 0.402 0.402 0.402
Ga: 0.598 0.598 0.598

Largest 6 diffraction maxima, sorted by position, 15 to 90 degrees two-theta:
| 2θ/deg | intensity |
| --- | --- |
| 28.2 | 22 |
| 33.8 | 40 |
| 39.3 | 57 |
| 39.8 | 100 |
| 41.2 | 47 |
| 44.6 | 34 |


# 10
# Pr6ZnGa3
Simulated powder diffraction line list, Cu Kα. Input: a cell relaxed with GGA-PBE.
Kinematic intensities with the Lorentz-polarization factor, no thermal factor.

Cell and atoms:
abc: 7.804 8.162 12.124
angles: 90.00 129.06 90.00
Fractional coordinates of all 20 atoms:
Pr: 0.019 0.101 0.250
Pr: 0.019 0.399 0.750
Pr: 0.225 0.671 0.066
Pr: 0.225 0.829 0.566
Pr: 0.407 0.168 0.070
Pr: 0.407 0.332 0.570
Pr: 0.593 0.668 0.430
Pr: 0.593 0.832 0.930
Pr: 0.775 0.171 0.434
Pr: 0.775 0.329 0.934
Pr: 0.981 0.601 0.250
Pr: 0.981 0.899 0.750
Zn: 0.500 0.000 0.500
Zn: 0.500 0.500 0.000
Ga: 0.000 0.000 0.000
Ga: 0.000 0.500 0.500
Ga: 0.303 0.138 0.751
Ga: 0.303 0.362 0.251
Ga: 0.697 0.638 0.749
Ga: 0.697 0.862 0.249

Largest 6 diffraction maxima, sorted by position, 15 to 90 degrees two-theta:
| 2θ/deg | intensity |
| --- | --- |
| 25.3 | 87 |
| 30.5 | 70 |
| 30.9 | 75 |
| 31.1 | 100 |
| 31.3 | 98 |
| 34.9 | 66 |


# 11
# PrZn6Ga2
Simulated powder diffraction line list, Cu Kα. Input: a cell relaxed with GGA-PBE.
Kinematic intensities with the Lorentz-polarization factor, no thermal factor.

Cell and atoms:
abc: 4.179 4.179 8.980
angles: 90.00 90.00 90.00
Fractional coordinates of all 9 atoms:
Pr: 0.000 0.000 0.000
Zn: 0.000 0.000 0.500
Zn: 0.000 0.500 0.303
Zn: 0.000 0.500 0.697
Zn: 0.500 0.000 0.303
Zn: 0.500 0.000 0.697
Zn: 0.500 0.500 0.500
Ga: 0.500 0.500 0.139
Ga: 0.500 0.500 0.861

Largest 6 diffraction maxima, sorted by position, 15 to 90 degrees two-theta:
| 2θ/deg | intensity |
| --- | --- |
| 29.2 | 21 |
| 36.4 | 100 |
| 36.9 | 30 |
| 43.0 | 36 |
| 43.3 | 67 |
| 74.9 | 22 |


# 12
# Ga3Pt
Simulated powder diffraction line list, Cu Kα. Input: a cell relaxed with GGA-PBE.
Kinematic intensities with the Lorentz-polarization factor, no thermal factor.

Cell and atoms:
abc: 10.630 10.630 4.867
angles: 90.00 90.00 90.00
Fractional coordinates of all 32 atoms:
Ga: 0.015 0.562 0.235
Ga: 0.062 0.985 0.735
Ga: 0.119 0.230 0.480
Ga: 0.147 0.675 0.752
Ga: 0.175 0.853 0.252
Ga: 0.230 0.381 0.020
Ga: 0.270 0.119 0.020
Ga: 0.325 0.647 0.252
Ga: 0.353 0.825 0.752
Ga: 0.381 0.270 0.480
Ga: 0.438 0.515 0.735
Ga: 0.485 0.938 0.235
Ga: 0.515 0.062 0.765
Ga: 0.562 0.485 0.265
Ga: 0.619 0.730 0.520
Ga: 0.647 0.175 0.248
Ga: 0.675 0.353 0.748
Ga: 0.730 0.881 0.980
Ga: 0.770 0.619 0.980
Ga: 0.825 0.147 0.748
Ga: 0.853 0.325 0.248
Ga: 0.881 0.770 0.520
Ga: 0.938 0.015 0.265
Ga: 0.985 0.438 0.765
Pt: 0.030 0.210 0.984
Pt: 0.210 0.470 0.516
Pt: 0.290 0.030 0.516
Pt: 0.470 0.290 0.984
Pt: 0.530 0.710 0.016
Pt: 0.710 0.970 0.484
Pt: 0.790 0.530 0.484
Pt: 0.970 0.790 0.016

Largest 6 diffraction maxima, sorted by position, 15 to 90 degrees two-theta:
| 2θ/deg | intensity |
| --- | --- |
| 24.8 | 100 |
| 42.3 | 54 |
| 43.4 | 38 |
| 44.3 | 58 |
| 47.4 | 39 |
| 74.1 | 36 |


What is the formula in the eleventh record? PrZn6Ga2